Computed powder X-ray diffraction pattern
Compound: Pu2Pa2Te7
Radiation: λ = 1.5418 Å (Cu Kα)
Structure: the PBE geometry in Alexandria
Intensities are scaled so that the largest is 100.

Crystal structure
```
Pu2Pa2Te7
1.0
5.2194 0.0000 0.0000
0.0000 5.2194 0.0000
0.0000 0.0000 14.7581
Pu Pa Te
2 2 7
Cartesian
0.0000 2.6097 1.9590 Pu
2.6097 0.0000 12.7992 Pu
0.0000 2.6097 9.2717 Pa
2.6097 0.0000 5.4864 Pa
0.0000 0.0000 3.6211 Te
0.0000 0.0000 7.3791 Te
0.0000 0.0000 11.1370 Te
2.6097 2.6097 0.0000 Te
2.6097 2.6097 3.8023 Te
2.6097 2.6097 7.3791 Te
2.6097 2.6097 10.9558 Te
```

Peak list (6 most intense, 2θ from 10° to 80°, by angle)
- 20.8 deg, intensity 62, (1 0 2)
- 34.4 deg, intensity 100, (2 0 0)
- 40.5 deg, intensity 34, (2 1 2)
- 49.4 deg, intensity 18, (2 2 0)
- 54.2 deg, intensity 15, (3 0 2)
- 61.6 deg, intensity 37, (3 1 4)